Starting from a DFT-relaxed cell (GGA-PBE, the Materials Project), the X-ray diffraction stick pattern of Ba5Nb2O11 was computed for Cu Kα.
Neutral-atom scattering factors, no anomalous dispersion.

Top 6 peaks for 2θ = 5–70°, in order of rising 2θ:
Position (°2θ), I_rel
25.32, 12
25.54, 12
29.10, 100
41.54, 15
51.58, 19
60.31, 16

Crystal structure
```
data_Ba5Nb2O11
_space_group_name_H-M_alt 'C 1 2/c 1'
_space_group_IT_number 15
_cell_length_a 6.141
_cell_length_b 10.630
_cell_length_c 18.620
_cell_angle_alpha 90.00
_cell_angle_beta 90.57
_cell_angle_gamma 90.00
loop_
_space_group_symop_operation_xyz
'x,y,z'
'-x,-y,-z'
'-x,y,-z+1/2'
'x,-y,z+1/2'
'x+1/2,y+1/2,z'
'-x+1/2,-y+1/2,-z'
'-x+1/2,y+1/2,-z+1/2'
'x+1/2,-y+1/2,z+1/2'
loop_
_atom_site_label
_atom_site_fract_x
_atom_site_fract_y
_atom_site_fract_z
_atom_site_occupancy
Ba1 0.000 0.167 0.250 1
Ba2 0.002 0.499 0.640 1
Ba3 0.008 0.164 0.478 1
Nb1 0.001 0.167 0.670 1
O1 0.000 0.008 0.621 1
O2 0.000 0.315 0.750 1
O3 0.107 0.464 0.499 1
O4 0.222 0.094 0.751 1
O5 0.236 0.245 0.883 1
O6 0.237 0.246 0.621 1
```

Starting from a DFT-relaxed cell (GGA-PBE, the Materials Project), the X-ray diffraction stick pattern of Ba9Nb10O30 was computed for Cu Kα.
Neutral-atom scattering factors, no anomalous dispersion.

Top 6 peaks for 2θ = 5–70°, in order of rising 2θ:
Position (°2θ), I_rel
30.57, 100
43.68, 11
43.75, 11
54.30, 26
54.43, 13
63.70, 13

Crystal structure
```
data_Ba9Nb10O30
_space_group_name_H-M_alt 'P -1'
_space_group_IT_number 2
_cell_length_a 9.229
_cell_length_b 9.258
_cell_length_c 9.259
_cell_angle_alpha 66.36
_cell_angle_beta 89.76
_cell_angle_gamma 78.37
loop_
_space_group_symop_operation_xyz
'x,y,z'
'-x,-y,-z'
loop_
_atom_site_label
_atom_site_fract_x
_atom_site_fract_y
_atom_site_fract_z
_atom_site_occupancy
Ba1 0.000 0.000 0.000 1
Ba2 0.104 0.500 0.198 1
Ba3 0.200 0.000 0.399 1
Ba4 0.302 0.500 0.603 1
Ba5 0.401 0.996 0.801 1
Nb1 0.050 0.250 0.600 1
Nb2 0.155 0.745 0.804 1
Nb3 0.253 0.253 0.000 1
Nb4 0.352 0.747 0.197 1
Nb5 0.451 0.253 0.395 1
O1 0.000 0.500 0.500 1
O2 0.050 0.251 0.100 1
O3 0.050 0.750 0.600 1
O4 0.100 0.000 0.700 1
O5 0.150 0.250 0.800 1
O6 0.150 0.750 0.300 1
O7 0.196 0.500 0.899 1
O8 0.247 0.753 0.000 1
O9 0.250 0.250 0.500 1
O10 0.301 0.000 0.100 1
O11 0.348 0.247 0.203 1
O12 0.348 0.753 0.697 1
O13 0.399 0.500 0.304 1
O14 0.449 0.247 0.899 1
O15 0.450 0.750 0.400 1
O16 0.500 0.000 0.500 1
```

Starting from a DFT-relaxed cell (GGA-PBE, the Materials Project), the X-ray diffraction stick pattern of Ba3Nb16O23 was computed for Cu Kα.
Neutral-atom scattering factors, no anomalous dispersion.

Top 6 peaks for 2θ = 5–70°, in order of rising 2θ:
Position (°2θ), I_rel
29.89, 73
30.29, 48
30.72, 67
42.61, 53
42.92, 100
62.08, 61

Crystal structure
```
data_Ba3Nb16O23
_space_group_name_H-M_alt 'C m m m'
_space_group_IT_number 65
_space_group_name_Hall '-C 2 2'
_cell_length_a 12.635
_cell_length_b 21.214
_cell_length_c 4.217
_cell_angle_alpha 90.00
_cell_angle_beta 90.00
_cell_angle_gamma 90.00
loop_
_atom_site_label
_atom_site_fract_x
_atom_site_fract_y
_atom_site_fract_z
_atom_site_occupancy
Ba1 0.000 0.000 0.000 1
Ba2 0.000 0.201 0.000 1
Nb1 0.000 0.399 0.500 1
Nb2 0.167 0.305 0.500 1
Nb3 0.169 0.101 0.500 1
Nb4 0.171 0.399 0.000 1
Nb5 0.172 0.500 0.500 1
O1 0.000 0.103 0.500 1
O2 0.000 0.299 0.500 1
O3 0.000 0.404 0.000 1
O4 0.000 0.500 0.500 1
O5 0.160 0.000 0.500 1
O6 0.160 0.301 0.000 1
O7 0.162 0.099 0.000 1
O8 0.166 0.200 0.500 1
O9 0.166 0.500 0.000 1
```

Starting from a DFT-relaxed cell (GGA-PBE, the Materials Project), the X-ray diffraction stick pattern of BaNb4O6 was computed for Cu Kα.
Neutral-atom scattering factors, no anomalous dispersion.

Top 6 peaks for 2θ = 5–70°, in order of rising 2θ:
Position (°2θ), I_rel
30.12, 100
31.71, 83
42.62, 68
44.54, 38
53.07, 40
62.62, 40

Crystal structure
```
data_BaNb4O6
_space_group_name_H-M_alt 'P 4/m m m'
_space_group_IT_number 123
_space_group_name_Hall '-P 4 2'
_cell_length_a 4.243
_cell_length_b 4.243
_cell_length_c 8.301
_cell_angle_alpha 90.00
_cell_angle_beta 90.00
_cell_angle_gamma 90.00
loop_
_atom_site_label
_atom_site_fract_x
_atom_site_fract_y
_atom_site_fract_z
_atom_site_occupancy
Ba1 0.000 0.000 0.000 1
Nb1 0.000 0.500 0.500 1
Nb2 0.500 0.500 0.254 1
O1 0.000 0.000 0.500 1
O2 0.000 0.500 0.243 1
O3 0.500 0.500 0.000 1
```

Starting from a DFT-relaxed cell (GGA-PBE, the Materials Project), the X-ray diffraction stick pattern of BaNb4O14 was computed for Cu Kα.
Neutral-atom scattering factors, no anomalous dispersion.

Top 6 peaks for 2θ = 5–70°, in order of rising 2θ:
Position (°2θ), I_rel
14.27, 80
27.48, 47
28.74, 100
33.31, 25
47.82, 46
56.73, 34

Crystal structure
```
data_BaNb4O14
_space_group_name_H-M_alt 'R -3 m'
_space_group_IT_number 166
_space_group_name_Hall '-R 3 2"'
_cell_length_a 7.6142
_cell_length_b 7.6142
_cell_length_c 18.6068
_cell_angle_alpha 90.00
_cell_angle_beta 90.00
_cell_angle_gamma 120.00
loop_
_atom_site_label
_atom_site_fract_x
_atom_site_fract_y
_atom_site_fract_z
_atom_site_occupancy
Ba1 0.0000 0.0000 0.0000 1
Nb1 0.0000 0.0000 0.5000 1
Nb2 0.0000 0.5000 0.0000 1
O1 0.0000 0.0000 0.1582 1
O2 0.0819 0.5410 0.3505 1
O3 0.0875 0.5438 0.1031 1
```